Starting from a crystal structure in Alexandria, relaxed with GGA-PBE, the XRD peak list of ThAgCl6 was calculated for Cu Kα.

Atomic structure:
```
ThAgCl6
1.0
6.4723 0.0000 0.0000
3.0214 6.1262 0.0000
0.0377 3.5445 6.1700
Th Ag Cl
1 1 6
Cartesian
0.0000 0.0000 0.0000 Th
3.2550 1.7723 3.0850 Ag
2.0916 4.1378 1.4260 Cl
4.2879 7.7679 4.6097 Cl
5.2294 6.1392 1.6418 Cl
4.3021 3.5315 4.5282 Cl
5.2435 1.9029 1.5603 Cl
7.4398 5.5329 4.7440 Cl
```

Top 8 peaks for 5 to 70 degrees two-theta, most intense first:
| d/Å | two_theta | I_rel |
| --- | --- | --- |
| 4.776 | 18.6 | 100.0 |
| 5.312 | 16.7 | 63.1 |
| 3.735 | 23.8 | 29.0 |
| 3.542 | 25.1 | 20.7 |
| 3.608 | 24.7 | 20.3 |
| 2.388 | 37.7 | 17.8 |
| 2.353 | 38.2 | 16.5 |
| 2.262 | 39.9 | 14.6 |

Starting from a crystal structure in Alexandria, relaxed with GGA-PBE, the XRD peak list of MgMn3Pt3 was calculated for Cu Kα.

Atomic structure:
```
MgMn3Pt3
1.0
4.4671 -4.5468 0.0000
4.4671 4.5468 0.0000
0.0000 0.0000 5.8008
Mg Mn Pt
2 6 6
Cartesian
2.0136 0.0000 0.0000 Mg
6.9206 0.0000 0.0000 Mg
4.4671 2.3625 2.9004 Mn
2.2048 0.0000 2.9004 Mn
4.4671 2.2214 0.0000 Mn
4.4671 -2.2214 0.0000 Mn
6.7294 0.0000 2.9004 Mn
4.4671 -2.3625 2.9004 Mn
2.2335 2.2734 1.4589 Pt
2.2335 2.2734 4.3419 Pt
2.2335 -2.2734 1.4589 Pt
2.2335 -2.2734 4.3419 Pt
4.4671 0.0000 1.4640 Pt
4.4671 0.0000 4.3368 Pt
```

Top 8 peaks for 5 to 70 degrees two-theta, most intense first:
| d/Å | two_theta | I_rel |
| --- | --- | --- |
| 2.145 | 42.1 | 100.0 |
| 6.373 | 13.9 | 44.1 |
| 3.187 | 28.0 | 36.2 |
| 2.273 | 39.6 | 29.7 |
| 2.234 | 40.4 | 28.0 |
| 1.593 | 57.9 | 19.2 |
| 4.547 | 19.5 | 15.0 |
| 2.900 | 30.8 | 14.1 |

What did the first record say?
Starting from a crystal structure in Alexandria, relaxed with GGA-PBE, the XRD peak list of ThAgCl6 was calculated for Cu Kα.

Atomic structure:
```
ThAgCl6
1.0
6.4723 0.0000 0.0000
3.0214 6.1262 0.0000
0.0377 3.5445 6.1700
Th Ag Cl
1 1 6
Cartesian
0.0000 0.0000 0.0000 Th
3.2550 1.7723 3.0850 Ag
2.0916 4.1378 1.4260 Cl
4.2879 7.7679 4.6097 Cl
5.2294 6.1392 1.6418 Cl
4.3021 3.5315 4.5282 Cl
5.2435 1.9029 1.5603 Cl
7.4398 5.5329 4.7440 Cl
```

Top 8 peaks for 5 to 70 degrees two-theta, most intense first:
| d/Å | two_theta | I_rel |
| --- | --- | --- |
| 4.776 | 18.6 | 100.0 |
| 5.312 | 16.7 | 63.1 |
| 3.735 | 23.8 | 29.0 |
| 3.542 | 25.1 | 20.7 |
| 3.608 | 24.7 | 20.3 |
| 2.388 | 37.7 | 17.8 |
| 2.353 | 38.2 | 16.5 |
| 2.262 | 39.9 | 14.6 |

Repeat the first record exactly.
Starting from a crystal structure in Alexandria, relaxed with GGA-PBE, the XRD peak list of ThAgCl6 was calculated for Cu Kα.

Atomic structure:
```
ThAgCl6
1.0
6.4723 0.0000 0.0000
3.0214 6.1262 0.0000
0.0377 3.5445 6.1700
Th Ag Cl
1 1 6
Cartesian
0.0000 0.0000 0.0000 Th
3.2550 1.7723 3.0850 Ag
2.0916 4.1378 1.4260 Cl
4.2879 7.7679 4.6097 Cl
5.2294 6.1392 1.6418 Cl
4.3021 3.5315 4.5282 Cl
5.2435 1.9029 1.5603 Cl
7.4398 5.5329 4.7440 Cl
```

Top 8 peaks for 5 to 70 degrees two-theta, most intense first:
| d/Å | two_theta | I_rel |
| --- | --- | --- |
| 4.776 | 18.6 | 100.0 |
| 5.312 | 16.7 | 63.1 |
| 3.735 | 23.8 | 29.0 |
| 3.542 | 25.1 | 20.7 |
| 3.608 | 24.7 | 20.3 |
| 2.388 | 37.7 | 17.8 |
| 2.353 | 38.2 | 16.5 |
| 2.262 | 39.9 | 14.6 |